This entry pairs a crystal structure of BaMnPO4 with its computed XRD peak list. Radiation: a wavelength of 1.5418 Å. Structure: DFT lattice parameters and positions (GGA+U).
Peak positions follow from Bragg's law for the DFT cell and can differ from measured ones.

Cell and atoms:
```
7
Lattice="0.000 4.103 4.103 4.103 0.000 4.103 4.103 4.103 0.000" Properties=species:S:1:pos:R:3 pbc="T T T"
Ba 0.000 0.000 0.000
Mn 2.052 2.052 2.052
P 4.103 4.103 4.103
O 3.209 3.209 3.209
O 4.997 4.997 3.209
O 4.997 3.209 4.997
O 3.209 4.997 4.997
```

Peak list (6 most intense, 10° ≤ 2θ ≤ 90°, most intense first)
- 2θ = 30.82°, I = 1000
- 2θ = 18.73°, I = 456
- 2θ = 36.31°, I = 399
- 2θ = 21.66°, I = 362
- 2θ = 54.80°, I = 357
- 2θ = 89.34°, I = 194